# 1
This entry pairs a crystal structure of Pr3Tm with its simulated powder diffractogram. Radiation: Cu Kα, 1.54184 Å. Structure: a PBE-relaxed structure.

Main lines, most intense first (10° ≤ 2θ ≤ 80°):
| 2θ/deg | I_rel |
| --- | --- |
| 31.82 | 1000 |
| 29.80 | 264 |
| 28.02 | 232 |
| 58.93 | 230 |
| 54.18 | 223 |
| 49.59 | 193 |
| 60.13 | 163 |
| 41.36 | 163 |
| 76.49 | 80 |
| 66.49 | 40 |

Structure:
Cell lengths 7.354, 7.354, 5.997 Å; angles 90.00, 90.00, 120.00 degrees
Fractional coordinates of all 8 atoms:
Pr1 0.168 0.337 0.250
Pr2 0.168 0.832 0.250
Pr3 0.337 0.168 0.750
Pr4 0.663 0.832 0.250
Pr5 0.832 0.168 0.750
Pr6 0.832 0.663 0.750
Tm1 0.333 0.667 0.750
Tm2 0.667 0.333 0.250


# 2
This entry pairs a crystal structure of Rb2AlAuBr6 with its simulated powder diffractogram. Radiation: Cu Kα, 1.54184 Å. Structure: a PBE-relaxed structure.

Main lines, most intense first (10° ≤ 2θ ≤ 80°):
| 2θ/deg | I_rel |
| --- | --- |
| 33.11 | 1000 |
| 47.52 | 697 |
| 28.57 | 484 |
| 23.25 | 356 |
| 16.38 | 340 |
| 79.15 | 293 |
| 27.33 | 284 |
| 36.18 | 239 |
| 59.14 | 235 |
| 14.17 | 187 |

Structure:
Cell lengths 7.653, 7.653, 7.653 Å; angles 60.00, 60.00, 60.00 degrees
Fractional coordinates of all 10 atoms:
Rb1 0.250 0.250 0.250
Rb2 0.750 0.750 0.750
Al1 0.000 0.000 0.000
Au1 0.500 0.500 0.500
Br1 0.236 0.236 0.764
Br2 0.236 0.764 0.236
Br3 0.236 0.764 0.764
Br4 0.764 0.236 0.236
Br5 0.764 0.236 0.764
Br6 0.764 0.764 0.236


# 3
This entry pairs a crystal structure of ZnCu2Bi2O8 with its simulated powder diffractogram. Radiation: Cu Kα, 1.54184 Å. Structure: a PBE-relaxed structure.

Main lines, most intense first (10° ≤ 2θ ≤ 80°):
| 2θ/deg | I_rel |
| --- | --- |
| 25.89 | 1000 |
| 30.77 | 793 |
| 26.62 | 790 |
| 21.63 | 649 |
| 30.06 | 585 |
| 27.74 | 390 |
| 28.70 | 356 |
| 42.24 | 354 |
| 25.54 | 350 |
| 25.39 | 350 |

Structure:
Cell lengths 6.432, 8.607, 13.793 Å; angles 90.00, 93.34, 90.00 degrees
Fractional coordinates of all 52 atoms:
Zn1 0.105 0.148 0.048
Zn2 0.105 0.352 0.548
Zn3 0.895 0.648 0.452
Zn4 0.895 0.852 0.952
Cu1 0.250 0.695 0.610
Cu2 0.250 0.805 0.110
Cu3 0.356 0.063 0.613
Cu4 0.356 0.437 0.113
Cu5 0.644 0.563 0.887
Cu6 0.644 0.937 0.387
Cu7 0.750 0.195 0.890
Cu8 0.750 0.305 0.390
Bi1 0.103 0.059 0.334
Bi2 0.103 0.441 0.834
Bi3 0.370 0.599 0.362
Bi4 0.370 0.901 0.862
Bi5 0.630 0.099 0.138
Bi6 0.630 0.401 0.638
Bi7 0.897 0.559 0.166
Bi8 0.897 0.941 0.666
O1 0.033 0.236 0.908
O2 0.033 0.264 0.408
O3 0.078 0.119 0.609
O4 0.078 0.381 0.109
O5 0.117 0.042 0.186
O6 0.117 0.458 0.686
O7 0.197 0.570 0.496
O8 0.197 0.930 0.996
O9 0.285 0.618 0.181
O10 0.285 0.882 0.681
O11 0.364 0.540 0.906
O12 0.364 0.960 0.406
O13 0.389 0.238 0.065
O14 0.389 0.262 0.565
O15 0.486 0.129 0.857
O16 0.486 0.371 0.357
O17 0.514 0.629 0.643
O18 0.514 0.871 0.143
O19 0.611 0.738 0.435
O20 0.611 0.762 0.935
O21 0.636 0.040 0.594
O22 0.636 0.460 0.094
O23 0.715 0.118 0.319
O24 0.715 0.382 0.819
O25 0.803 0.070 0.004
O26 0.803 0.430 0.504
O27 0.883 0.542 0.314
O28 0.883 0.958 0.814
O29 0.922 0.619 0.891
O30 0.922 0.881 0.391
O31 0.967 0.736 0.592
O32 0.967 0.764 0.092


# 4
This entry pairs a crystal structure of Tb3Ga5 with its simulated powder diffractogram. Radiation: Cu Kα, 1.54184 Å. Structure: a PBE-relaxed structure.

Main lines, most intense first (10° ≤ 2θ ≤ 80°):
| 2θ/deg | I_rel |
| --- | --- |
| 35.45 | 1000 |
| 36.93 | 859 |
| 37.54 | 817 |
| 33.13 | 771 |
| 36.29 | 756 |
| 41.24 | 651 |
| 28.08 | 507 |
| 34.44 | 499 |
| 30.14 | 417 |
| 53.68 | 346 |

Structure:
Cell lengths 11.500, 9.735, 6.138 Å; angles 90.00, 90.00, 90.00 degrees
Fractional coordinates of all 32 atoms:
Tb1 0.074 0.250 0.151
Tb2 0.148 0.509 0.610
Tb3 0.148 0.991 0.610
Tb4 0.352 0.009 0.110
Tb5 0.352 0.491 0.110
Tb6 0.426 0.750 0.651
Tb7 0.574 0.250 0.349
Tb8 0.648 0.509 0.890
Tb9 0.648 0.991 0.890
Tb10 0.852 0.009 0.390
Tb11 0.852 0.491 0.390
Tb12 0.926 0.750 0.849
Ga1 0.005 0.250 0.630
Ga2 0.091 0.553 0.125
Ga3 0.091 0.947 0.125
Ga4 0.201 0.750 0.898
Ga5 0.248 0.750 0.324
Ga6 0.252 0.250 0.824
Ga7 0.299 0.250 0.398
Ga8 0.409 0.053 0.625
Ga9 0.409 0.447 0.625
Ga10 0.495 0.750 0.130
Ga11 0.505 0.250 0.870
Ga12 0.591 0.553 0.375
Ga13 0.591 0.947 0.375
Ga14 0.701 0.750 0.602
Ga15 0.748 0.750 0.176
Ga16 0.752 0.250 0.676
Ga17 0.799 0.250 0.102
Ga18 0.909 0.053 0.875
Ga19 0.909 0.447 0.875
Ga20 0.995 0.750 0.370


# 5
This entry pairs a crystal structure of LiCuPO4 with its simulated powder diffractogram. Radiation: Cu Kα, 1.54184 Å. Structure: a PBE-relaxed structure.

Main lines, most intense first (10° ≤ 2θ ≤ 80°):
| 2θ/deg | I_rel |
| --- | --- |
| 15.74 | 1000 |
| 23.76 | 858 |
| 21.89 | 700 |
| 35.79 | 558 |
| 37.02 | 509 |
| 22.38 | 429 |
| 36.61 | 425 |
| 25.52 | 247 |
| 30.49 | 235 |
| 66.44 | 215 |

Structure:
Cell lengths 5.018, 9.714, 8.534 Å; angles 90.00, 125.98, 90.00 degrees
Fractional coordinates of all 28 atoms:
Li1 0.187 0.170 0.484
Li2 0.187 0.330 0.984
Li3 0.813 0.670 0.016
Li4 0.813 0.830 0.516
Cu1 0.279 0.630 0.511
Cu2 0.279 0.870 0.011
Cu3 0.721 0.130 0.989
Cu4 0.721 0.370 0.489
P1 0.452 0.095 0.253
P2 0.452 0.405 0.753
P3 0.548 0.595 0.247
P4 0.548 0.905 0.747
O1 0.139 0.122 0.248
O2 0.139 0.378 0.748
O3 0.252 0.674 0.074
O4 0.252 0.826 0.574
O5 0.370 0.137 0.053
O6 0.370 0.363 0.553
O7 0.462 0.062 0.721
O8 0.462 0.438 0.221
O9 0.538 0.562 0.779
O10 0.538 0.938 0.279
O11 0.630 0.637 0.447
O12 0.630 0.863 0.947
O13 0.748 0.174 0.426
O14 0.748 0.326 0.926
O15 0.861 0.622 0.252
O16 0.861 0.878 0.752


# 6
This entry pairs a crystal structure of EuNi2Ge2 with its simulated powder diffractogram. Radiation: Cu Kα, 1.54184 Å. Structure: a PBE-relaxed structure.

Main lines, most intense first (10° ≤ 2θ ≤ 80°):
| 2θ/deg | I_rel |
| --- | --- |
| 34.40 | 1000 |
| 35.48 | 861 |
| 43.76 | 628 |
| 56.81 | 466 |
| 30.55 | 267 |
| 63.94 | 230 |
| 50.38 | 226 |
| 63.60 | 199 |
| 75.00 | 182 |
| 68.90 | 176 |

Structure:
Cell lengths 5.824, 5.824, 5.824 Å; angles 138.39, 138.39, 60.31 degrees
Fractional coordinates of all 5 atoms:
Eu1 0.000 0.000 0.000
Ni1 0.250 0.750 0.500
Ni2 0.750 0.250 0.500
Ge1 0.366 0.366 0.000
Ge2 0.634 0.634 0.000


# 7
This entry pairs a crystal structure of Na3Zr2Si2PO12 with its simulated powder diffractogram. Radiation: Cu Kα, 1.54184 Å. Structure: a PBE-relaxed structure.

Main lines, most intense first (10° ≤ 2θ ≤ 80°):
| 2θ/deg | I_rel |
| --- | --- |
| 19.15 | 1000 |
| 33.55 | 482 |
| 30.56 | 471 |
| 30.39 | 230 |
| 27.30 | 222 |
| 22.48 | 185 |
| 43.80 | 174 |
| 52.35 | 170 |
| 13.50 | 149 |
| 19.22 | 145 |

Structure:
Cell lengths 9.258, 9.258, 9.235 Å; angles 119.72, 119.72, 59.91 degrees
Fractional coordinates of all 40 atoms:
Na1 0.065 0.935 0.500
Na2 0.209 0.660 0.787
Na3 0.591 0.800 0.043
Na4 0.660 0.209 0.287
Na5 0.800 0.591 0.543
Na6 0.935 0.065 0.000
Zr1 0.048 0.547 0.352
Zr2 0.343 0.831 0.227
Zr3 0.547 0.048 0.852
Zr4 0.831 0.343 0.727
Si1 0.442 0.651 0.550
Si2 0.651 0.442 0.050
Si3 0.738 0.944 0.536
Si4 0.944 0.738 0.036
P1 0.151 0.234 0.538
P2 0.234 0.151 0.038
O1 0.079 0.179 0.868
O2 0.101 0.781 0.044
O3 0.124 0.413 0.537
O4 0.179 0.079 0.368
O5 0.192 0.311 0.201
O6 0.251 0.979 0.048
O7 0.270 0.630 0.536
O8 0.311 0.192 0.701
O9 0.394 0.709 0.384
O10 0.413 0.124 0.037
O11 0.469 0.617 0.044
O12 0.490 0.814 0.731
O13 0.570 0.900 0.359
O14 0.617 0.469 0.544
O15 0.630 0.270 0.036
O16 0.699 0.987 0.713
O17 0.709 0.394 0.884
O18 0.767 0.921 0.036
O19 0.781 0.101 0.544
O20 0.814 0.490 0.231
O21 0.900 0.570 0.859
O22 0.921 0.767 0.536
O23 0.979 0.251 0.548
O24 0.987 0.699 0.213


# 8
This entry pairs a crystal structure of RbHfMg6 with its simulated powder diffractogram. Radiation: Cu Kα, 1.54184 Å. Structure: a PBE-relaxed structure.

Main lines, most intense first (10° ≤ 2θ ≤ 80°):
| 2θ/deg | I_rel |
| --- | --- |
| 32.59 | 1000 |
| 18.33 | 557 |
| 26.71 | 423 |
| 12.94 | 316 |
| 26.04 | 253 |
| 19.26 | 239 |
| 46.35 | 222 |
| 37.08 | 169 |
| 37.23 | 167 |
| 39.10 | 158 |

Structure:
Cell lengths 4.608, 6.844, 6.844 Å; angles 90.22, 90.00, 90.00 degrees
Fractional coordinates of all 8 atoms:
Rb1 0.000 0.000 0.000
Hf1 0.000 0.495 0.495
Mg1 0.000 0.502 0.990
Mg2 0.000 0.990 0.502
Mg3 0.500 0.274 0.711
Mg4 0.500 0.276 0.276
Mg5 0.500 0.711 0.274
Mg6 0.500 0.713 0.713


# 9
This entry pairs a crystal structure of NaBO7 with its simulated powder diffractogram. Radiation: Cu Kα, 1.54184 Å. Structure: a PBE-relaxed structure.

Main lines, most intense first (10° ≤ 2θ ≤ 80°):
| 2θ/deg | I_rel |
| --- | --- |
| 30.33 | 1000 |
| 22.44 | 878 |
| 15.27 | 767 |
| 35.68 | 765 |
| 16.28 | 660 |
| 32.63 | 588 |
| 30.82 | 544 |
| 32.18 | 512 |
| 30.68 | 490 |
| 25.10 | 468 |

Structure:
Cell lengths 5.708, 6.061, 7.879 Å; angles 100.86, 101.94, 100.12 degrees
Fractional coordinates of all 18 atoms:
Na1 0.000 0.000 0.000
Na2 0.500 0.500 0.500
B1 0.112 0.426 0.791
B2 0.888 0.574 0.209
O1 0.046 0.942 0.710
O2 0.147 0.585 0.239
O3 0.212 0.423 0.655
O4 0.228 0.897 0.642
O5 0.244 0.642 0.091
O6 0.247 0.428 0.968
O7 0.391 0.816 0.737
O8 0.609 0.184 0.263
O9 0.753 0.572 0.032
O10 0.756 0.358 0.909
O11 0.772 0.103 0.358
O12 0.788 0.577 0.345
O13 0.853 0.415 0.761
O14 0.954 0.058 0.290